YZn2Ge2: calculated powder X-ray diffraction pattern (Cu Ka), based on the PBE geometry in Alexandria.

Structural model:
Unit cell a=4.0355 b=22.8868 c=4.0405 alpha=90.00 beta=90.00 gamma=90.00
Space group Cmcm (No. 63)
One atom of each set of equivalent atoms:
Y  0.0000  0.1489  0.2500
Zn  0.0000  0.0390  0.7500
Zn  0.0000  0.4589  0.7500
Ge  0.0000  0.2502  0.7500
Ge  0.0000  0.3834  0.2500

Most intense lines, 15 to 90 degrees two-theta, sorted by position:
(1 3 1), 2θ = 33.51°, d 2.674, intensity 5
(1 5 1), 2θ = 37.11°, d 2.423, intensity 100
(0 8 1), 2θ = 38.56°, d 2.335, intensity 5
(0 10 0), 2θ = 39.37°, d 2.289, intensity 11
(1 9 0), 2θ = 42.01°, d 2.151, intensity 11
(2 0 0), 2θ = 44.89°, d 2.019, intensity 37
(2 10 0), 2θ = 61.21°, d 1.514, intensity 12
(2 0 2), 2θ = 65.37°, d 1.428, intensity 12
(3 5 1), 2θ = 77.63°, d 1.230, intensity 21
(2 10 2), 2θ = 79.05°, d 1.211, intensity 5